Theoretical powder X-ray diffraction pattern
Compound: LiFe2O2F3
Radiation: λ = 1.5418 Å (Cu Kα)
Structure: DFT lattice parameters and positions (PBE+U)

Structure:
```
LiFe2O2F3
1.0
5.166 -2.663 0.000
5.166 2.663 0.000
-2.693 0.000 6.689
Li Fe O F
2 4 4 6
Direct
0.004 0.004 0.252
0.996 0.996 0.748
0.369 0.394 0.049
0.393 0.370 0.550
0.606 0.631 0.951
0.630 0.607 0.450
0.277 0.553 0.811
0.447 0.723 0.189
0.550 0.279 0.310
0.721 0.450 0.690
0.043 0.356 0.410
0.194 0.806 0.500
0.352 0.044 0.911
0.644 0.957 0.590
0.802 0.198 0.000
0.956 0.648 0.089
```

Peak list (10 most intense, 2θ from 10° to 90°, in order of rising 2θ)
2θ/deg  Rel. int.
19.1  100.0
26.2  16.0
26.7  30.5
32.7  14.7
35.1  28.6
50.6  24.5
51.0  17.4
51.3  13.4
54.4  18.1
61.6  16.9

---

Theoretical powder X-ray diffraction pattern
Compound: LiFeOF
Radiation: λ = 1.5418 Å (Cu Kα)
Structure: DFT lattice parameters and positions (PBE+U)

Structure:
```
LiFeOF
1.0
2.973 0.000 0.000
0.000 4.504 0.000
-0.218 0.000 3.006
Li Fe O F
1 1 1 1
Direct
0.000 0.000 0.000
0.500 0.504 0.500
0.000 0.506 0.000
0.500 0.005 0.500
```

Peak list (10 most intense, 2θ from 10° to 90°, in order of rising 2θ)
2θ/deg  Rel. int.
19.7  100.0
29.7  44.0
30.1  42.4
40.0  57.9
41.2  52.9
44.4  41.4
46.1  19.4
50.6  18.3
58.8  31.6
61.3  27.2

---

Theoretical powder X-ray diffraction pattern
Compound: Li4Fe3OF11
Radiation: λ = 1.5418 Å (Cu Kα)
Structure: DFT lattice parameters and positions (PBE+U)

Structure:
```
Li4Fe3OF11
1.0
5.871 0.000 0.000
-0.858 5.901 0.000
-1.073 -1.231 5.949
Li Fe O F
4 3 1 11
Direct
0.000 0.000 0.000
0.206 0.269 0.563
0.479 0.798 0.727
0.737 0.329 0.818
0.286 0.523 0.075
0.564 0.039 0.284
0.871 0.669 0.424
0.556 0.711 0.290
0.070 0.267 0.838
0.182 0.612 0.534
0.276 0.845 0.010
0.314 0.258 0.234
0.459 0.065 0.574
0.477 0.489 0.845
0.686 0.096 0.022
0.759 0.348 0.462
0.823 0.783 0.723
0.957 0.987 0.370
0.958 0.558 0.125
```

Peak list (10 most intense, 2θ from 10° to 90°, in order of rising 2θ)
2θ/deg  Rel. int.
14.9  100.0
19.3  92.6
23.8  70.9
24.9  71.6
30.9  80.7
31.5  45.1
31.6  47.1
32.5  43.8
51.7  49.3
52.8  32.8

---

Theoretical powder X-ray diffraction pattern
Compound: LiFe2O2F3
Radiation: λ = 1.5418 Å (Cu Kα)
Structure: DFT lattice parameters and positions (PBE+U)

Structure:
```
LiFe2O2F3
1.0
3.176 0.000 0.000
0.000 8.165 0.000
0.000 0.000 8.331
Li Fe O F
2 4 4 6
Direct
0.000 0.104 0.000
0.000 0.896 0.500
0.000 0.399 0.658
0.000 0.601 0.158
0.500 0.258 0.319
0.500 0.742 0.819
0.000 0.385 0.245
0.000 0.615 0.745
0.500 0.366 0.537
0.500 0.634 0.037
0.000 0.113 0.406
0.000 0.255 0.831
0.000 0.745 0.331
0.000 0.887 0.906
0.500 0.120 0.127
0.500 0.880 0.627
```

Peak list (10 most intense, 2θ from 10° to 90°, in order of rising 2θ)
2θ/deg  Rel. int.
10.8  59.7
15.2  100.0
21.3  27.8
24.0  36.2
24.3  61.1
30.7  42.3
32.1  81.2
37.3  48.3
45.2  25.2
55.4  46.0

---

Theoretical powder X-ray diffraction pattern
Compound: LiFe8O12F4
Radiation: λ = 1.5418 Å (Cu Kα)
Structure: DFT lattice parameters and positions (PBE+U)

Structure:
```
LiFe8O12F4
1.0
7.340 -2.987 0.000
7.340 2.987 0.000
-0.009 0.000 6.445
Li Fe O F
1 8 12 4
Direct
0.000 0.000 0.000
0.022 0.702 0.743
0.038 0.224 0.740
0.283 0.476 0.247
0.298 0.978 0.257
0.524 0.717 0.753
0.558 0.247 0.750
0.753 0.442 0.250
0.776 0.962 0.260
0.028 0.223 0.440
0.031 0.210 0.055
0.284 0.474 0.941
0.289 0.467 0.554
0.364 0.042 0.747
0.526 0.716 0.059
0.533 0.711 0.446
0.626 0.297 0.246
0.703 0.374 0.754
0.777 0.972 0.560
0.790 0.969 0.945
0.958 0.636 0.253
0.131 0.827 0.248
0.173 0.869 0.752
0.429 0.123 0.247
0.877 0.571 0.753
```

Peak list (10 most intense, 2θ from 10° to 90°, in order of rising 2θ)
2θ/deg  Rel. int.
24.3  100.0
27.7  83.6
35.3  84.8
37.1  17.3
38.9  15.9
50.2  49.5
54.0  46.2
57.2  13.8
62.1  13.6
65.8  32.3

---

Theoretical powder X-ray diffraction pattern
Compound: Li2Fe4OF8
Radiation: λ = 1.5418 Å (Cu Kα)
Structure: DFT lattice parameters and positions (PBE+U)

Structure:
```
Li2Fe4OF8
1.0
7.618 -4.602 0.000
7.618 4.602 0.000
-0.932 0.000 10.634
Li Fe O F
8 16 4 32
Direct
0.002 0.998 0.500
0.328 0.336 0.713
0.328 0.628 0.463
0.336 0.328 0.213
0.628 0.328 0.963
0.651 0.679 0.411
0.679 0.651 0.911
0.998 0.002 0.000
0.014 0.319 0.453
0.016 0.687 0.260
0.164 0.485 0.959
0.175 0.821 0.753
0.234 0.995 0.266
0.319 0.014 0.953
0.386 0.683 0.124
0.474 0.846 0.664
0.485 0.164 0.459
0.648 0.975 0.178
0.683 0.386 0.624
0.687 0.016 0.760
0.821 0.175 0.253
0.846 0.474 0.164
0.975 0.648 0.678
0.995 0.234 0.766
0.034 0.110 0.355
0.110 0.034 0.855
0.242 0.914 0.089
0.914 0.242 0.589
0.060 0.720 0.869
0.071 0.430 0.276
0.081 0.421 0.776
0.093 0.757 0.414
0.231 0.567 0.145
0.232 0.590 0.655
0.238 0.894 0.590
0.254 0.261 0.545
0.261 0.254 0.045
0.394 0.405 0.889
0.405 0.394 0.389
0.417 0.739 0.320
0.421 0.081 0.276
0.430 0.071 0.776
0.439 0.754 0.824
0.541 0.612 0.558
0.562 0.920 0.522
0.567 0.231 0.645
0.577 0.899 0.014
0.590 0.232 0.155
0.612 0.541 0.058
0.720 0.060 0.369
0.729 0.758 0.756
0.739 0.417 0.820
0.754 0.439 0.324
0.757 0.093 0.914
0.758 0.729 0.256
0.894 0.238 0.090
0.899 0.577 0.514
0.905 0.905 0.154
0.905 0.905 0.654
0.920 0.562 0.022
```

Peak list (10 most intense, 2θ from 10° to 90°, in order of rising 2θ)
2θ/deg  Rel. int.
16.7  55.9
19.3  58.0
19.7  100.0
23.8  76.3
31.1  87.7
31.5  48.6
32.3  95.9
33.6  70.1
53.4  61.3
60.1  36.1

---

Theoretical powder X-ray diffraction pattern
Compound: LiFe8O14F2
Radiation: λ = 1.5418 Å (Cu Kα)
Structure: DFT lattice parameters and positions (PBE+U)

Structure:
```
LiFe8O14F2
1.0
5.609 0.000 0.000
2.460 6.887 0.000
2.444 0.448 6.892
Li Fe O F
1 8 14 2
Direct
0.000 0.000 0.000
0.106 0.205 0.197
0.113 0.220 0.694
0.116 0.685 0.211
0.134 0.706 0.693
0.593 0.958 0.938
0.598 0.438 0.954
0.616 0.447 0.453
0.637 0.937 0.453
0.257 0.937 0.126
0.263 0.629 0.938
0.278 0.431 0.621
0.442 0.220 0.033
0.445 0.025 0.718
0.459 0.523 0.217
0.482 0.713 0.522
0.762 0.377 0.686
0.773 0.179 0.376
0.785 0.864 0.178
0.942 0.275 0.973
0.950 0.972 0.772
0.959 0.460 0.284
0.982 0.766 0.468
0.275 0.121 0.423
0.767 0.676 0.871
```

Peak list (10 most intense, 2θ from 10° to 90°, in order of rising 2θ)
2θ/deg  Rel. int.
26.6  100.0
35.7  36.9
35.8  12.1
40.7  6.6
53.0  13.9
53.1  21.9
53.2  7.4
53.3  14.1
54.9  16.3
62.5  7.1

---

Theoretical powder X-ray diffraction pattern
Compound: LiFe8O14F2
Radiation: λ = 1.5418 Å (Cu Kα)
Structure: DFT lattice parameters and positions (PBE+U)

Structure:
```
LiFe8O14F2
1.0
4.722 0.000 0.000
0.000 4.722 0.000
-0.010 -0.006 11.923
Li Fe O F
1 8 14 2
Direct
0.000 0.000 0.000
0.000 0.499 0.934
0.003 0.503 0.443
0.004 0.501 0.185
0.026 0.475 0.688
0.476 0.974 0.314
0.497 0.002 0.817
0.497 0.004 0.559
0.501 0.998 0.068
0.176 0.678 0.314
0.190 0.694 0.058
0.194 0.687 0.813
0.201 0.687 0.569
0.300 0.186 0.434
0.301 0.182 0.189
0.307 0.190 0.944
0.325 0.179 0.689
0.686 0.803 0.436
0.688 0.805 0.189
0.695 0.810 0.941
0.810 0.305 0.061
0.815 0.303 0.566
0.818 0.299 0.814
0.705 0.796 0.689
0.795 0.297 0.313
```

Peak list (10 most intense, 2θ from 10° to 90°, in order of rising 2θ)
2θ/deg  Rel. int.
26.7  100.0
35.6  50.3
38.1  11.2
40.6  13.4
53.2  58.7
55.0  16.9
62.2  9.2
62.3  7.3
67.3  20.6
69.0  10.9

---

Theoretical powder X-ray diffraction pattern
Compound: LiFe7O6F10
Radiation: λ = 1.5418 Å (Cu Kα)
Structure: DFT lattice parameters and positions (PBE+U)

Structure:
```
LiFe7O6F10
1.0
4.597 0.000 0.000
0.000 11.361 0.000
-0.066 0.000 5.120
Li Fe O F
1 7 6 10
Direct
0.000 0.000 0.000
0.000 0.346 0.500
0.000 0.498 0.000
0.000 0.833 0.500
0.500 0.107 0.500
0.500 0.240 0.000
0.500 0.592 0.500
0.500 0.758 0.000
0.219 0.481 0.685
0.268 0.230 0.682
0.279 0.730 0.678
0.721 0.730 0.322
0.732 0.230 0.318
0.781 0.481 0.315
0.225 0.864 0.169
0.235 0.363 0.171
0.241 0.978 0.650
0.264 0.616 0.166
0.265 0.111 0.173
0.735 0.111 0.827
0.736 0.616 0.834
0.759 0.978 0.350
0.765 0.363 0.829
0.775 0.864 0.831
```

Peak list (10 most intense, 2θ from 10° to 90°, in order of rising 2θ)
2θ/deg  Rel. int.
24.9  100.0
30.4  93.2
30.7  92.4
36.2  30.7
41.2  33.9
52.3  27.9
53.2  24.7
54.2  37.2
54.6  37.6
63.6  34.5

---

Theoretical powder X-ray diffraction pattern
Compound: LiFe2O2F3
Radiation: λ = 1.5418 Å (Cu Kα)
Structure: DFT lattice parameters and positions (PBE+U)

Structure:
```
LiFe2O2F3
1.0
4.997 -1.936 0.000
4.997 1.936 0.000
-0.095 0.000 10.096
Li Fe O F
2 4 4 6
Direct
0.000 0.000 0.000
0.673 0.673 0.164
0.008 0.008 0.372
0.065 0.065 0.680
0.718 0.718 0.867
0.735 0.735 0.506
0.176 0.176 0.488
0.186 0.186 0.838
0.625 0.625 0.671
0.920 0.920 0.542
0.090 0.090 0.194
0.540 0.540 0.356
0.558 0.558 0.988
0.812 0.812 0.037
0.814 0.814 0.314
0.911 0.911 0.805
```

Peak list (10 most intense, 2θ from 10° to 90°, in order of rising 2θ)
2θ/deg  Rel. int.
17.6  25.7
17.8  41.1
19.8  28.1
24.7  100.0
26.2  23.4
30.5  26.4
31.9  30.7
32.2  36.9
46.9  41.6
54.6  19.2